[1]
The following is a computed powder diffraction line list of Cs2CaBeBr6. It was derived from DFT lattice parameters and positions (GGA-PBE), using λ = 1.5418 Å (Cu Kα).

Largest 10 diffraction maxima, in order of rising 2θ, 2θ from 10° to 80°:
22.86 deg, rel. 8; 28.35 deg, rel. 100; 31.63 deg, rel. 25; 33.45 deg, rel. 40; 46.70 deg, rel. 31; 48.04 deg, rel. 13; 54.34 deg, rel. 16; 56.72 deg, rel. 23; 58.66 deg, rel. 14; 75.43 deg, rel. 11

Atomic structure:
Cell: 7.7917 7.7917 7.7917 Å, 121.82 121.82 86.87°
Element x y z (fractional)
Cs  0.2500  0.7500  0.5000
Cs  0.7500  0.2500  0.5000
Ca  0.0000  0.0000  0.0000
Be  0.5000  0.5000  0.0000
Br  0.2531  0.2531  0.0000
Br  0.2744  0.2744  0.5487
Br  0.2744  0.7256  0.0000
Br  0.7256  0.2744  0.0000
Br  0.7256  0.7256  0.4513
Br  0.7469  0.7469  0.0000

---

[2]
The following is a computed powder diffraction line list of Be4CdBr. It was derived from DFT lattice parameters and positions (GGA-PBE), using λ = 1.5418 Å (Cu Kα).

Largest 10 diffraction maxima, in order of rising 2θ, 2θ from 10° to 80°:
22.26 deg, rel. 100; 25.76 deg, rel. 3; 36.75 deg, rel. 97; 43.39 deg, rel. 72; 45.42 deg, rel. 1; 52.95 deg, rel. 13; 58.13 deg, rel. 21; 66.19 deg, rel. 33; 70.78 deg, rel. 22; 78.17 deg, rel. 13

Atomic structure:
Cell: 4.8909 4.8909 4.8909 Å, 60.00 60.00 60.00°
Element x y z (fractional)
Be  0.3802  0.3802  0.3802
Be  0.3802  0.3802  0.8593
Be  0.3802  0.8593  0.3802
Be  0.8593  0.3802  0.3802
Cd  0.7500  0.7500  0.7500
Br  0.0000  0.0000  0.0000

---

[3]
The following is a computed powder diffraction line list of BeCdS2Br. It was derived from DFT lattice parameters and positions (GGA-PBE), using λ = 1.5418 Å (Cu Kα).

Largest 10 diffraction maxima, in order of rising 2θ, 2θ from 10° to 80°:
18.10 deg, rel. 14; 24.99 deg, rel. 26; 25.35 deg, rel. 100; 35.63 deg, rel. 41; 36.67 deg, rel. 19; 44.23 deg, rel. 44; 44.89 deg, rel. 11; 51.28 deg, rel. 14; 52.06 deg, rel. 26; 64.68 deg, rel. 13

Atomic structure:
Cell: 5.0395 5.0395 4.9016 Å, 90.00 90.00 90.00°
Element x y z (fractional)
Be  0.0000  0.0000  0.0000
Cd  0.0000  0.0000  0.5000
S  0.0000  0.5000  0.5000
S  0.5000  0.0000  0.5000
Br  0.5000  0.5000  0.0000

---

[4]
The following is a computed powder diffraction line list of RbBeCo2Br. It was derived from DFT lattice parameters and positions (GGA-PBE), using λ = 1.5418 Å (Cu Kα).

Largest 10 diffraction maxima, in order of rising 2θ, 2θ from 10° to 80°:
26.82 deg, rel. 44; 32.10 deg, rel. 100; 41.58 deg, rel. 26; 50.17 deg, rel. 29; 50.80 deg, rel. 26; 60.26 deg, rel. 8; 67.14 deg, rel. 12; 69.93 deg, rel. 19; 71.47 deg, rel. 10; 78.35 deg, rel. 7

Atomic structure:
Cell: 4.3438 4.3438 6.6491 Å, 90.00 90.00 90.00°
Element x y z (fractional)
Rb  0.0000  0.0000  0.0000
Be  0.5000  0.5000  0.5000
Co  0.0000  0.5000  0.5000
Co  0.5000  0.0000  0.5000
Br  0.5000  0.5000  0.0000

---

> Which formula does entry 2 have?

Be4CdBr